Record 1
The following is a calculated powder diffractogram of SrIn2S4. It was derived from a PBE-relaxed structure, using Cu Ka.

Top 8 peaks for 2θ = 10–80°, most intense first:
| d_spacing | Position (°2θ) | Rel. int. |
| --- | --- | --- |
| 2.484 | 36.2 | 100 |
| 3.864 | 23.0 | 96 |
| 3.142 | 28.4 | 61 |
| 5.322 | 16.7 | 58 |
| 2.661 | 33.7 | 46 |
| 2.031 | 44.6 | 35 |
| 3.777 | 23.6 | 32 |
| 1.842 | 49.5 | 20 |

```
data_SrIn2S4
_chemical_formula_sum 'Sr8 In16 S32'
_cell_length_a 15.107
_cell_length_b 12.587
_cell_length_c 12.523
_cell_angle_alpha 73.97
_cell_angle_beta 53.21
_cell_angle_gamma 52.82
_space_group_name_H-M_alt 'P 1'
_space_group_IT_number 1
_space_group_name_Hall 'P 1'
loop_
_atom_site_label
_atom_site_type_symbol
_atom_site_fract_x
_atom_site_fract_y
_atom_site_fract_z
Sr1 Sr 0.122 0.628 0.122
Sr2 Sr 0.125 0.125 0.125
Sr3 Sr 0.372 0.878 0.372
Sr4 Sr 0.375 0.375 0.375
Sr5 Sr 0.625 0.625 0.625
Sr6 Sr 0.628 0.122 0.628
Sr7 Sr 0.875 0.875 0.875
Sr8 Sr 0.878 0.372 0.878
In1 In 0.038 0.855 0.463
In2 In 0.112 0.363 0.386
In3 In 0.144 0.463 0.855
In4 In 0.145 0.962 0.856
In5 In 0.360 0.614 0.637
In6 In 0.363 0.112 0.640
In7 In 0.386 0.640 0.112
In8 In 0.463 0.144 0.038
In9 In 0.537 0.856 0.962
In10 In 0.614 0.360 0.888
In11 In 0.637 0.888 0.360
In12 In 0.640 0.386 0.363
In13 In 0.855 0.038 0.144
In14 In 0.856 0.537 0.145
In15 In 0.888 0.637 0.614
In16 In 0.962 0.145 0.537
S1 S 0.088 0.910 0.089
S2 S 0.089 0.410 0.586
S3 S 0.089 0.413 0.088
S4 S 0.090 0.912 0.587
S5 S 0.148 0.664 0.847
S6 S 0.153 0.159 0.852
S7 S 0.159 0.153 0.336
S8 S 0.182 0.646 0.316
S9 S 0.316 0.356 0.182
S10 S 0.336 0.852 0.159
S11 S 0.354 0.818 0.644
S12 S 0.356 0.316 0.646
S13 S 0.410 0.089 0.415
S14 S 0.413 0.089 0.910
S15 S 0.414 0.585 0.911
S16 S 0.415 0.586 0.410
S17 S 0.585 0.414 0.590
S18 S 0.586 0.415 0.089
S19 S 0.587 0.911 0.090
S20 S 0.590 0.911 0.585
S21 S 0.644 0.684 0.354
S22 S 0.646 0.182 0.356
S23 S 0.664 0.148 0.841
S24 S 0.684 0.644 0.818
S25 S 0.818 0.354 0.684
S26 S 0.841 0.847 0.664
S27 S 0.847 0.841 0.148
S28 S 0.852 0.336 0.153
S29 S 0.910 0.088 0.413
S30 S 0.911 0.587 0.912
S31 S 0.911 0.590 0.414
S32 S 0.912 0.090 0.911
```

Record 2
The following is a calculated powder diffractogram of TaInS2. It was derived from a PBE-relaxed structure, using Cu Ka.

Top 8 peaks for 2θ = 10–80°, most intense first:
| d_spacing | Position (°2θ) | Rel. int. |
| --- | --- | --- |
| 2.741 | 32.7 | 100 |
| 2.070 | 43.7 | 78 |
| 4.468 | 19.9 | 67 |
| 2.879 | 31.1 | 34 |
| 2.420 | 37.1 | 31 |
| 1.662 | 55.3 | 26 |
| 1.558 | 59.3 | 22 |
| 1.296 | 73.0 | 17 |

```
data_TaInS2
_chemical_formula_sum 'Ta1 In1 S2'
_cell_length_a 3.325
_cell_length_b 3.325
_cell_length_c 8.936
_cell_angle_alpha 90.00
_cell_angle_beta 90.00
_cell_angle_gamma 120.00
_space_group_name_H-M_alt 'P 1'
_space_group_IT_number 1
_space_group_name_Hall 'P 1'
loop_
_atom_site_label
_atom_site_type_symbol
_atom_site_fract_x
_atom_site_fract_y
_atom_site_fract_z
Ta1 Ta 0.000 0.000 0.000
In1 In 0.333 0.667 0.500
S1 S 0.333 0.667 0.176
S2 S 0.333 0.667 0.824
```

Record 3
The following is a calculated powder diffractogram of TaInS2. It was derived from a PBE-relaxed structure, using Cu Ka.

Top 8 peaks for 2θ = 10–80°, most intense first:
| d_spacing | Position (°2θ) | Rel. int. |
| --- | --- | --- |
| 2.387 | 37.7 | 100 |
| 2.907 | 30.8 | 58 |
| 4.179 | 21.3 | 42 |
| 1.697 | 54.0 | 30 |
| 8.358 | 10.6 | 26 |
| 1.679 | 54.7 | 21 |
| 1.373 | 68.3 | 17 |
| 1.558 | 59.3 | 17 |

```
data_TaInS2
_chemical_formula_sum 'Ta2 In2 S4'
_cell_length_a 3.357
_cell_length_b 3.357
_cell_length_c 16.717
_cell_angle_alpha 90.00
_cell_angle_beta 90.00
_cell_angle_gamma 120.00
_space_group_name_H-M_alt 'P 1'
_space_group_IT_number 1
_space_group_name_Hall 'P 1'
loop_
_atom_site_label
_atom_site_type_symbol
_atom_site_fract_x
_atom_site_fract_y
_atom_site_fract_z
Ta1 Ta 0.000 0.000 0.250
Ta2 Ta 0.000 0.000 0.750
In1 In 0.000 0.000 0.000
In2 In 0.000 0.000 0.500
S1 S 0.333 0.667 0.156
S2 S 0.333 0.667 0.344
S3 S 0.667 0.333 0.656
S4 S 0.667 0.333 0.844
```

Record 4
The following is a calculated powder diffractogram of Ta3In2S6. It was derived from a PBE-relaxed structure, using Cu Ka.

Top 8 peaks for 2θ = 10–80°, most intense first:
| d_spacing | Position (°2θ) | Rel. int. |
| --- | --- | --- |
| 2.363 | 38.1 | 100 |
| 8.064 | 11.0 | 63 |
| 2.916 | 30.7 | 59 |
| 4.032 | 22.0 | 35 |
| 1.658 | 55.4 | 27 |
| 1.684 | 54.5 | 22 |
| 1.371 | 68.4 | 18 |
| 2.742 | 32.7 | 15 |

```
data_Ta3In2S6
_chemical_formula_sum 'Ta3 In2 S6'
_cell_length_a 8.739
_cell_length_b 8.739
_cell_length_c 8.739
_cell_angle_alpha 38.99
_cell_angle_beta 38.99
_cell_angle_gamma 38.99
_space_group_name_H-M_alt 'P 1'
_space_group_IT_number 1
_space_group_name_Hall 'P 1'
loop_
_atom_site_label
_atom_site_type_symbol
_atom_site_fract_x
_atom_site_fract_y
_atom_site_fract_z
Ta1 Ta 0.000 0.000 0.000
Ta2 Ta 0.333 0.333 0.333
Ta3 Ta 0.667 0.667 0.667
In1 In 0.167 0.167 0.167
In2 In 0.833 0.833 0.833
S1 S 0.065 0.398 0.730
S2 S 0.270 0.602 0.935
S3 S 0.398 0.730 0.065
S4 S 0.602 0.935 0.270
S5 S 0.730 0.065 0.398
S6 S 0.935 0.270 0.602
```

Record 5
The following is a calculated powder diffractogram of Tb3In5S12. It was derived from a PBE-relaxed structure, using Cu Ka.

Top 8 peaks for 2θ = 10–80°, most intense first:
| d_spacing | Position (°2θ) | Rel. int. |
| --- | --- | --- |
| 3.489 | 25.5 | 100 |
| 3.661 | 24.3 | 78 |
| 3.529 | 25.2 | 74 |
| 2.089 | 43.3 | 67 |
| 1.962 | 46.3 | 65 |
| 4.133 | 21.5 | 59 |
| 2.745 | 32.6 | 56 |
| 2.009 | 45.1 | 48 |

```
data_Tb3In5S12
_chemical_formula_sum 'Tb6 In10 S24'
_cell_length_a 11.011
_cell_length_b 3.924
_cell_length_c 21.441
_cell_angle_alpha 90.00
_cell_angle_beta 95.96
_cell_angle_gamma 90.00
_space_group_name_H-M_alt 'P 1'
_space_group_IT_number 1
_space_group_name_Hall 'P 1'
loop_
_atom_site_label
_atom_site_type_symbol
_atom_site_fract_x
_atom_site_fract_y
_atom_site_fract_z
Tb1 Tb 0.028 0.250 0.412
Tb2 Tb 0.087 0.750 0.765
Tb3 Tb 0.284 0.750 0.284
Tb4 Tb 0.716 0.250 0.716
Tb5 Tb 0.913 0.250 0.235
Tb6 Tb 0.972 0.750 0.588
In1 In 0.164 0.750 0.112
In2 In 0.241 0.250 0.941
In3 In 0.349 0.750 0.472
In4 In 0.353 0.250 0.668
In5 In 0.457 0.750 0.827
In6 In 0.543 0.250 0.173
In7 In 0.647 0.750 0.332
In8 In 0.651 0.250 0.528
In9 In 0.759 0.750 0.059
In10 In 0.836 0.250 0.888
S1 S 0.035 0.750 0.315
S2 S 0.062 0.250 0.859
S3 S 0.123 0.750 0.491
S4 S 0.130 0.250 0.037
S5 S 0.162 0.250 0.210
S6 S 0.202 0.750 0.652
S7 S 0.277 0.250 0.386
S8 S 0.292 0.250 0.784
S9 S 0.382 0.750 0.940
S10 S 0.390 0.750 0.158
S11 S 0.421 0.250 0.552
S12 S 0.484 0.250 0.289
S13 S 0.516 0.750 0.711
S14 S 0.579 0.750 0.448
S15 S 0.610 0.250 0.842
S16 S 0.618 0.250 0.060
S17 S 0.708 0.750 0.216
S18 S 0.723 0.750 0.614
S19 S 0.798 0.250 0.348
S20 S 0.838 0.750 0.790
S21 S 0.870 0.750 0.963
S22 S 0.877 0.250 0.509
S23 S 0.938 0.750 0.141
S24 S 0.965 0.250 0.685
```

Record 6
The following is a calculated powder diffractogram of Ti5InS8. It was derived from a PBE-relaxed structure, using Cu Ka.

Top 8 peaks for 2θ = 10–80°, most intense first:
| d_spacing | Position (°2θ) | Rel. int. |
| --- | --- | --- |
| 2.679 | 33.4 | 100 |
| 2.193 | 41.2 | 71 |
| 2.581 | 34.8 | 64 |
| 1.717 | 53.4 | 57 |
| 4.326 | 20.5 | 53 |
| 2.730 | 32.8 | 50 |
| 4.300 | 20.7 | 43 |
| 2.165 | 41.7 | 37 |

```
data_Ti5InS8
_chemical_formula_sum 'Ti5 In1 S8'
_cell_length_a 9.107
_cell_length_b 9.107
_cell_length_c 8.873
_cell_angle_alpha 103.97
_cell_angle_beta 103.97
_cell_angle_gamma 21.58
_space_group_name_H-M_alt 'P 1'
_space_group_IT_number 1
_space_group_name_Hall 'P 1'
loop_
_atom_site_label
_atom_site_type_symbol
_atom_site_fract_x
_atom_site_fract_y
_atom_site_fract_z
Ti1 Ti 0.000 0.000 0.000
Ti2 Ti 0.293 0.293 0.652
Ti3 Ti 0.341 0.341 0.007
Ti4 Ti 0.659 0.659 0.993
Ti5 Ti 0.707 0.707 0.348
In1 In 0.500 0.500 0.500
S1 S 0.087 0.087 0.824
S2 S 0.163 0.163 0.499
S3 S 0.241 0.241 0.165
S4 S 0.424 0.424 0.831
S5 S 0.576 0.576 0.169
S6 S 0.759 0.759 0.835
S7 S 0.837 0.837 0.501
S8 S 0.913 0.913 0.176
```